(1)
The following is a computed powder X-ray diffraction pattern of La5GaPb2. It was derived from a structure optimized by DFT (GGA-PBE), using Cu Kα, 1.54184 Å.
Peak positions follow from Bragg's law for the DFT cell and can differ from measured ones.

Largest 6 diffraction maxima, sorted by position, 2θ = 10–90°:
- 2θ 28.78, intensity 100
- 2θ 29.34, intensity 85
- 2θ 29.61, intensity 45
- 2θ 31.21, intensity 84
- 2θ 35.80, intensity 55
- 2θ 60.06, intensity 40

a b c (Å): 8.2886 12.9573 5.0167
angles (deg): 90.00 90.00 90.00
Element x y z (fractional)
La 0.0000 0.0000 0.0000
La 0.1618 0.2830 0.0000
La 0.1843 0.5625 0.5000
La 0.3157 0.0625 0.5000
La 0.3382 0.7830 0.0000
La 0.5000 0.5000 0.0000
La 0.6618 0.2170 0.0000
La 0.6843 0.9375 0.5000
La 0.8157 0.4375 0.5000
La 0.8382 0.7170 0.0000
Ga 0.0000 0.5000 0.0000
Ga 0.5000 0.0000 0.0000
Pb 0.0685 0.8280 0.5000
Pb 0.4315 0.3280 0.5000
Pb 0.5685 0.6720 0.5000
Pb 0.9315 0.1720 0.5000


(2)
The following is a computed powder X-ray diffraction pattern of La7Ga2Pb2. It was derived from a structure optimized by DFT (GGA-PBE), using Cu Kα, 1.54184 Å.
Peak positions follow from Bragg's law for the DFT cell and can differ from measured ones.

Largest 6 diffraction maxima, sorted by position, 2θ = 10–90°:
- 2θ 24.60, intensity 87
- 2θ 28.03, intensity 40
- 2θ 31.05, intensity 70
- 2θ 33.73, intensity 40
- 2θ 34.25, intensity 78
- 2θ 35.18, intensity 100

a b c (Å): 7.0486 7.0486 7.9712
angles (deg): 90.00 90.00 109.61
Element x y z (fractional)
La 0.0000 0.0000 0.0000
La 0.0000 0.5000 0.3123
La 0.0000 0.5000 0.6877
La 0.5000 0.0000 0.3123
La 0.5000 0.0000 0.6877
La 0.5000 0.5000 0.2857
La 0.5000 0.5000 0.7143
Ga 0.1578 0.1578 0.5000
Ga 0.8422 0.8422 0.5000
Pb 0.2948 0.7052 0.0000
Pb 0.7052 0.2948 0.0000


(3)
The following is a computed powder X-ray diffraction pattern of LaPuGaPb. It was derived from a structure optimized by DFT (GGA-PBE), using Cu Kα, 1.54184 Å.
Peak positions follow from Bragg's law for the DFT cell and can differ from measured ones.

Largest 6 diffraction maxima, sorted by position, 2θ = 10–90°:
- 2θ 20.04, intensity 14
- 2θ 33.02, intensity 100
- 2θ 47.39, intensity 18
- 2θ 58.97, intensity 39
- 2θ 69.27, intensity 12
- 2θ 78.90, intensity 17

a b c (Å): 7.6731 7.6731 7.6731
angles (deg): 90.00 90.00 90.00
Element x y z (fractional)
La 0.0000 0.0000 0.0000
La 0.0000 0.5000 0.5000
La 0.5000 0.0000 0.5000
La 0.5000 0.5000 0.0000
Pu 0.0000 0.0000 0.5000
Pu 0.0000 0.5000 0.0000
Pu 0.5000 0.0000 0.0000
Pu 0.5000 0.5000 0.5000
Ga 0.2500 0.2500 0.7500
Ga 0.2500 0.7500 0.2500
Ga 0.7500 0.2500 0.2500
Ga 0.7500 0.7500 0.7500
Pb 0.2500 0.2500 0.2500
Pb 0.2500 0.7500 0.7500
Pb 0.7500 0.2500 0.7500
Pb 0.7500 0.7500 0.2500


(4)
The following is a computed powder X-ray diffraction pattern of LaGaSnPb. It was derived from a structure optimized by DFT (GGA-PBE), using Cu Kα, 1.54184 Å.
Peak positions follow from Bragg's law for the DFT cell and can differ from measured ones.

Largest 6 diffraction maxima, sorted by position, 2θ = 10–90°:
- 2θ 32.59, intensity 100
- 2θ 36.80, intensity 18
- 2θ 38.15, intensity 16
- 2θ 38.45, intensity 16
- 2θ 63.63, intensity 15
- 2θ 65.46, intensity 14

a b c (Å): 4.6826 4.7180 4.8850
angles (deg): 90.00 90.00 90.00
Element x y z (fractional)
La 0.0000 0.0000 0.0000
Ga 0.5000 0.5000 0.0000
Sn 0.5000 0.0000 0.5000
Pb 0.0000 0.5000 0.5000


(5)
The following is a computed powder X-ray diffraction pattern of LaGa6Pd6. It was derived from a structure optimized by DFT (GGA-PBE), using Cu Kα, 1.54184 Å.
Peak positions follow from Bragg's law for the DFT cell and can differ from measured ones.

Largest 6 diffraction maxima, sorted by position, 2θ = 10–90°:
- 2θ 37.70, intensity 93
- 2θ 37.86, intensity 50
- 2θ 38.90, intensity 52
- 2θ 39.02, intensity 98
- 2θ 42.49, intensity 49
- 2θ 43.48, intensity 100

a b c (Å): 6.9503 6.9503 6.9503
angles (deg): 133.22 104.50 93.71
Element x y z (fractional)
La 0.0000 0.0000 0.0000
Ga 0.1846 0.6846 0.5000
Ga 0.3462 0.3462 0.0000
Ga 0.3540 0.0000 0.3540
Ga 0.6460 0.0000 0.6460
Ga 0.6538 0.6538 0.0000
Ga 0.8154 0.3154 0.5000
Pd 0.0000 0.0000 0.5000
Pd 0.0000 0.5000 0.0000
Pd 0.2394 0.5000 0.7394
Pd 0.5000 0.0000 0.0000
Pd 0.5000 0.5000 0.5000
Pd 0.7606 0.5000 0.2606


(6)
The following is a computed powder X-ray diffraction pattern of LaGa6Pd2. It was derived from a structure optimized by DFT (GGA-PBE), using Cu Kα, 1.54184 Å.
Peak positions follow from Bragg's law for the DFT cell and can differ from measured ones.

Largest 6 diffraction maxima, sorted by position, 2θ = 10–90°:
- 2θ 24.75, intensity 64
- 2θ 25.87, intensity 20
- 2θ 29.96, intensity 28
- 2θ 39.24, intensity 20
- 2θ 42.88, intensity 100
- 2θ 78.56, intensity 31

a b c (Å): 8.4363 8.4363 8.4363
angles (deg): 60.00 60.00 60.00
Element x y z (fractional)
La 0.1250 0.1250 0.1250
La 0.8750 0.8750 0.8750
Ga 0.1351 0.1351 0.6149
Ga 0.1351 0.6149 0.1351
Ga 0.1351 0.6149 0.6149
Ga 0.3851 0.3851 0.8649
Ga 0.3851 0.8649 0.3851
Ga 0.3851 0.8649 0.8649
Ga 0.6149 0.1351 0.1351
Ga 0.6149 0.1351 0.6149
Ga 0.6149 0.6149 0.1351
Ga 0.8649 0.3851 0.3851
Ga 0.8649 0.3851 0.8649
Ga 0.8649 0.8649 0.3851
Pd 0.0000 0.5000 0.5000
Pd 0.5000 0.0000 0.5000
Pd 0.5000 0.5000 0.0000
Pd 0.5000 0.5000 0.5000


(7)
The following is a computed powder X-ray diffraction pattern of La3Ga3Pd. It was derived from a structure optimized by DFT (GGA-PBE), using Cu Kα, 1.54184 Å.
Peak positions follow from Bragg's law for the DFT cell and can differ from measured ones.

Largest 6 diffraction maxima, sorted by position, 2θ = 10–90°:
- 2θ 30.41, intensity 84
- 2θ 30.74, intensity 100
- 2θ 31.30, intensity 51
- 2θ 32.57, intensity 48
- 2θ 38.93, intensity 70
- 2θ 39.19, intensity 72

a b c (Å): 5.9622 5.9622 15.0225
angles (deg): 108.30 108.30 45.35
Element x y z (fractional)
La 0.0110 0.0110 0.2647
La 0.1811 0.1811 0.5694
La 0.3377 0.3377 0.8833
La 0.6623 0.6623 0.1167
La 0.8189 0.8189 0.4306
La 0.9890 0.9890 0.7353
Ga 0.0910 0.0910 0.9599
Ga 0.3065 0.3065 0.2733
Ga 0.4766 0.4766 0.5798
Ga 0.5234 0.5234 0.4202
Ga 0.6935 0.6935 0.7267
Ga 0.9090 0.9090 0.0401
Pd 0.3644 0.3644 0.1100
Pd 0.6356 0.6356 0.8900


(8)
The following is a computed powder X-ray diffraction pattern of LaGa5Pd3. It was derived from a structure optimized by DFT (GGA-PBE), using Cu Kα, 1.54184 Å.
Peak positions follow from Bragg's law for the DFT cell and can differ from measured ones.

Largest 6 diffraction maxima, sorted by position, 2θ = 10–90°:
- 2θ 30.95, intensity 88
- 2θ 33.09, intensity 100
- 2θ 36.25, intensity 55
- 2θ 41.01, intensity 66
- 2θ 43.50, intensity 48
- 2θ 43.83, intensity 78

a b c (Å): 6.8219 6.8219 12.7539
angles (deg): 90.00 90.00 144.75
Element x y z (fractional)
La 0.1657 0.8343 0.7500
La 0.8343 0.1657 0.2500
Ga 0.0000 0.0000 0.0000
Ga 0.0000 0.0000 0.5000
Ga 0.2011 0.7989 0.0610
Ga 0.2011 0.7989 0.4390
Ga 0.4405 0.5595 0.6514
Ga 0.4405 0.5595 0.8486
Ga 0.5595 0.4405 0.1514
Ga 0.5595 0.4405 0.3486
Ga 0.7989 0.2011 0.5610
Ga 0.7989 0.2011 0.9390
Pd 0.1350 0.8650 0.2500
Pd 0.3920 0.6080 0.0486
Pd 0.3920 0.6080 0.4514
Pd 0.6080 0.3920 0.5486
Pd 0.6080 0.3920 0.9514
Pd 0.8650 0.1350 0.7500